[1]
Diffraction record for CsBaU4N8. The X-ray diffraction stick pattern is computed, not measured: it uses the PBE geometry in Alexandria and copper Kα.
Intensities are scaled so that the largest is 100.

Structure:
Unit cell a=8.015 b=8.015 c=8.015 alpha=51.95 beta=51.95 gamma=51.95
Element x y z (fractional)
Cs (0.000, 0.000, 0.000)
Ba (0.643, 0.643, 0.643)
U (0.156, 0.653, 0.653)
U (0.171, 0.171, 0.171)
U (0.653, 0.156, 0.653)
U (0.653, 0.653, 0.156)
N (0.386, 0.386, 0.854)
N (0.386, 0.854, 0.386)
N (0.438, 0.950, 0.950)
N (0.444, 0.444, 0.444)
N (0.854, 0.386, 0.386)
N (0.863, 0.863, 0.863)
N (0.950, 0.438, 0.950)
N (0.950, 0.950, 0.438)

Top 10 peaks for 5 to 70 degrees two-theta, in order of falling intensity:
2θ 12.8, d = 6.914 Å, rel. 100.0
2θ 30.6, d = 2.917 Å, rel. 60.6
2θ 34.2, d = 2.623 Å, rel. 57.0
2θ 29.7, d = 3.008 Å, rel. 56.3
2θ 25.8, d = 3.457 Å, rel. 46.5
2θ 59.0, d = 1.565 Å, rel. 29.6
2θ 42.6, d = 2.122 Å, rel. 29.1
2θ 52.1, d = 1.755 Å, rel. 28.0
2θ 36.6, d = 2.452 Å, rel. 25.4
2θ 46.0, d = 1.973 Å, rel. 22.3

=====

[2]
Diffraction record for CsBa2Na2Sb2. The X-ray diffraction stick pattern is computed, not measured: it uses the PBE geometry in Alexandria and copper Kα.
Intensities are scaled so that the largest is 100.

Structure:
Unit cell a=11.799 b=11.799 c=11.799 alpha=27.22 beta=27.22 gamma=27.22
Element x y z (fractional)
Cs (0.000, 0.000, 0.000)
Ba (0.132, 0.132, 0.132)
Ba (0.868, 0.868, 0.868)
Na (0.411, 0.411, 0.411)
Na (0.589, 0.589, 0.589)
Sb (0.246, 0.246, 0.246)
Sb (0.754, 0.754, 0.754)

Top 10 peaks for 5 to 70 degrees two-theta, in order of falling intensity:
2θ 28.0, d = 3.188 Å, rel. 100.0
2θ 32.2, d = 2.777 Å, rel. 94.8
2θ 18.6, d = 4.762 Å, rel. 55.1
2θ 26.0, d = 3.421 Å, rel. 40.7
2θ 43.2, d = 2.094 Å, rel. 30.4
2θ 54.9, d = 1.672 Å, rel. 29.8
2θ 57.5, d = 1.603 Å, rel. 19.7
2θ 46.7, d = 1.947 Å, rel. 17.7
2θ 40.3, d = 2.239 Å, rel. 16.2
2θ 7.8, d = 11.355 Å, rel. 14.6

=====

[3]
Diffraction record for CsBaNp2O7. The X-ray diffraction stick pattern is computed, not measured: it uses the PBE geometry in Alexandria and copper Kα.
Intensities are scaled so that the largest is 100.

Structure:
Unit cell a=4.320 b=4.320 c=11.220 alpha=90.00 beta=90.00 gamma=90.00
Element x y z (fractional)
Cs (0.000, 0.000, 0.000)
Ba (0.000, 0.000, 0.500)
Np (0.500, 0.500, 0.305)
Np (0.500, 0.500, 0.695)
O (0.000, 0.500, 0.326)
O (0.000, 0.500, 0.674)
O (0.500, 0.000, 0.326)
O (0.500, 0.000, 0.674)
O (0.500, 0.500, 0.137)
O (0.500, 0.500, 0.500)
O (0.500, 0.500, 0.863)

Top 10 peaks for 5 to 70 degrees two-theta, in order of falling intensity:
2θ 26.0, d = 3.423 Å, rel. 100.0
2θ 29.2, d = 3.055 Å, rel. 50.9
2θ 49.9, d = 1.827 Å, rel. 34.6
2θ 7.9, d = 11.220 Å, rel. 33.8
2θ 41.8, d = 2.160 Å, rel. 27.2
2θ 31.6, d = 2.828 Å, rel. 20.8
2θ 20.6, d = 4.320 Å, rel. 15.1
2θ 23.8, d = 3.740 Å, rel. 14.9
2θ 45.6, d = 1.991 Å, rel. 14.4
2θ 48.7, d = 1.870 Å, rel. 13.0

=====

[4]
Diffraction record for CsBaPaO4. The X-ray diffraction stick pattern is computed, not measured: it uses the PBE geometry in Alexandria and copper Kα.
Intensities are scaled so that the largest is 100.

Structure:
Unit cell a=7.709 b=7.709 c=7.709 alpha=146.01 beta=146.01 gamma=48.84
Element x y z (fractional)
Cs (0.000, 0.000, 0.000)
Ba (0.700, 0.700, 0.000)
Pa (0.349, 0.349, 0.000)
O (0.200, 0.200, 0.000)
O (0.333, 0.833, 0.500)
O (0.498, 0.498, 0.000)
O (0.833, 0.333, 0.500)

Top 10 peaks for 5 to 70 degrees two-theta, in order of falling intensity:
2θ 27.5, d = 3.246 Å, rel. 100.0
2θ 28.0, d = 3.187 Å, rel. 58.4
2θ 49.2, d = 1.851 Å, rel. 41.8
2θ 40.0, d = 2.254 Å, rel. 28.8
2θ 12.6, d = 7.020 Å, rel. 21.9
2θ 48.2, d = 1.886 Å, rel. 21.1
2θ 56.7, d = 1.623 Å, rel. 15.9
2θ 38.5, d = 2.340 Å, rel. 12.6
2θ 37.7, d = 2.383 Å, rel. 11.5
2θ 65.5, d = 1.425 Å, rel. 10.7